# AcZnF5
Calculated powder diffraction line list, a wavelength of 1.5418 Å. Input: a cell relaxed with GGA-PBE.

Largest 10 diffraction maxima, in order of rising 2θ, 15 to 90 degrees two-theta:
2θ 16.5, intensity 52; 2θ 20.3, intensity 89; 2θ 24.8, intensity 100; 2θ 26.2, intensity 51; 2θ 32.3, intensity 55; 2θ 33.4, intensity 31; 2θ 35.4, intensity 34; 2θ 45.4, intensity 27; 2θ 46.3, intensity 27; 2θ 48.8, intensity 32

Crystal structure
Lattice parameters (Å, degrees): 4.2132 6.8106 8.7368 90.00 90.00 90.00
Space group Immm (No. 71)
Symmetry-distinct sites (fractional):
Ac 0.0000 0.0000 0.0000
Zn 0.0000 0.0000 0.5000
F 0.0000 0.0000 0.2688
F 0.0000 0.3045 0.5000
F 0.0000 0.5000 0.0000

=====

# ThGaSe4
Calculated powder diffraction line list, a wavelength of 1.5418 Å. Input: a cell relaxed with GGA-PBE.

Largest 10 diffraction maxima, in order of rising 2θ, 15 to 90 degrees two-theta:
2θ 18.6, intensity 100; 2θ 25.6, intensity 29; 2θ 30.2, intensity 51; 2θ 34.3, intensity 27; 2θ 35.7, intensity 23; 2θ 37.1, intensity 81; 2θ 37.7, intensity 29; 2θ 46.1, intensity 48; 2θ 48.6, intensity 14; 2θ 49.1, intensity 15

Crystal structure
Lattice parameters (Å, degrees): 9.5351 9.5351 8.1459 90.00 90.00 90.00
Space group I4_1/amd (No. 141, origin choice 2)
Symmetry-distinct sites (fractional):
Th 0.0000 0.2500 0.3750
Ga 0.0000 0.2500 0.8750
Se 0.0000 0.0640 0.6721

=====

# PrCo4Si4
Calculated powder diffraction line list, a wavelength of 1.5418 Å. Input: a cell relaxed with GGA-PBE.

Largest 10 diffraction maxima, in order of rising 2θ, 15 to 90 degrees two-theta:
2θ 24.3, intensity 39; 2θ 32.1, intensity 26; 2θ 33.4, intensity 100; 2θ 36.0, intensity 79; 2θ 43.8, intensity 37; 2θ 47.0, intensity 63; 2θ 52.7, intensity 23; 2θ 57.9, intensity 38; 2θ 59.8, intensity 19; 2θ 63.1, intensity 26

Crystal structure
Lattice parameters (Å, degrees): 7.8820 7.8820 4.1377 90.00 90.00 90.00
Space group I4/m (No. 87)
Symmetry-distinct sites (fractional):
Pr 0.0000 0.0000 0.0000
Co 0.1063 0.6198 0.5000
Si 0.1607 0.2877 0.5000

=====

# K3OsO6
Calculated powder diffraction line list, a wavelength of 1.5418 Å. Input: a cell relaxed with GGA-PBE.

Largest 10 diffraction maxima, in order of rising 2θ, 15 to 90 degrees two-theta:
2θ 17.1, intensity 64; 2θ 17.4, intensity 58; 2θ 19.9, intensity 47; 2θ 20.1, intensity 22; 2θ 27.9, intensity 25; 2θ 28.4, intensity 100; 2θ 28.7, intensity 24; 2θ 33.6, intensity 24; 2θ 40.5, intensity 27; 2θ 50.6, intensity 22

Crystal structure
Lattice parameters (Å, degrees): 6.2179 6.3953 10.8113 90.00 125.02 90.00
Space group P2_1/c (No. 14)
Symmetry-distinct sites (fractional):
K 0.0000 0.0000 0.0000
K 0.2364 0.0425 0.7470
Os 0.5000 0.0000 0.5000
O 0.2258 0.1660 0.4676
O 0.2903 0.7384 0.9501
O 0.3760 0.0324 0.2978

=====

Number 3 is which compound? PrCo4Si4